Entry 1:
Ac3Cd2Ge4: theoretical powder X-ray diffraction pattern (Cu Kα), based on a cell relaxed with GGA-PBE.
Lines closer than 0.1° are merged.

The 12 most intense peaks (2θ from 15° to 90°), low angle first:
- hkl 1 1 -1, 2θ = 22.02°, I 46.2
- hkl 3 1 -1, 2θ = 29.28°, I 66.3
- hkl 4 0 -2, 2θ = 30.41°, I 37.3
- hkl 3 1 0, 2θ = 30.54°, I 100.0
- hkl 0 0 3, 2θ = 31.05°, I 79.1
- hkl 1 1 2, 2θ = 31.52°, I 73.9
- hkl 4 0 1, 2θ = 36.60°, I 32.0
- hkl 3 1 -3, 2θ = 37.01°, I 70.3
- hkl 0 2 0, 2θ = 39.43°, I 58.7
- hkl 0 2 3, 2θ = 51.01°, I 39.8
- hkl 7 1 -2, 2θ = 56.00°, I 32.4
- hkl 6 2 -4, 2θ = 66.07°, I 27.0

Atomic structure:
```
data_Ac3Cd2Ge4
_cell_length_a 12.317
_cell_length_b 4.570
_cell_length_c 9.310
_cell_angle_alpha 90.00
_cell_angle_beta 111.84
_cell_angle_gamma 90.00
_space_group_name_H-M_alt 'C 1 2/m 1'
_space_group_IT_number 12
_space_group_name_Hall '-C 2y'
loop_
_atom_site_label
_atom_site_fract_x
_atom_site_fract_y
_atom_site_fract_z
Ac1 0.000 0.000 0.000
Ac2 0.120 0.500 0.688
Cd1 0.183 0.500 0.333
Ge1 0.090 0.000 0.396
Ge2 0.219 0.500 0.049
```


Entry 2:
K2Rb3O3: theoretical powder X-ray diffraction pattern (Cu Kα), based on a cell relaxed with GGA-PBE.
Lines closer than 0.1° are merged.

The 12 most intense peaks (2θ from 15° to 90°), low angle first:
- hkl 1 1 0, 2θ = 18.26°, I 92.2
- hkl 4 0 0, 2θ = 25.90°, I 35.0
- hkl 1 1 -3, 2θ = 26.58°, I 100.0
- hkl 4 0 1, 2θ = 26.71°, I 51.5
- hkl 2 0 -4, 2θ = 28.67°, I 23.7
- hkl 2 0 4, 2θ = 28.88°, I 23.3
- hkl 1 1 4, 2θ = 31.67°, I 21.9
- hkl 4 0 3, 2θ = 32.54°, I 18.8
- hkl 0 2 0, 2θ = 34.56°, I 50.1
- hkl 5 1 -3, 2θ = 41.80°, I 24.6
- hkl 5 1 3, 2θ = 42.09°, I 21.3
- hkl 7 1 -1, 2θ = 49.97°, I 18.3

Atomic structure:
```
data_K2Rb3O3
_cell_length_a 13.770
_cell_length_b 5.191
_cell_length_c 13.902
_cell_angle_alpha 90.00
_cell_angle_beta 90.51
_cell_angle_gamma 90.00
_space_group_name_H-M_alt 'C 1 m 1'
_space_group_IT_number 8
_space_group_name_Hall 'C -2y'
loop_
_atom_site_label
_atom_site_fract_x
_atom_site_fract_y
_atom_site_fract_z
K1 0.000 0.000 0.000
K2 0.001 0.000 0.352
K3 0.157 0.500 0.817
K4 0.419 0.000 0.500
Rb1 0.169 0.500 0.546
Rb2 0.251 0.500 0.041
Rb3 0.252 0.500 0.311
Rb4 0.407 0.000 0.848
Rb5 0.444 0.500 0.675
Rb6 0.477 0.000 0.176
O1 0.028 0.500 0.675
O2 0.066 0.500 0.985
O3 0.067 0.500 0.369
O4 0.345 0.500 0.864
O5 0.353 0.500 0.484
O6 0.394 0.500 0.175
```


Entry 3:
Ac4PmGe4: theoretical powder X-ray diffraction pattern (Cu Kα), based on a cell relaxed with GGA-PBE.
Lines closer than 0.1° are merged.

The 12 most intense peaks (2θ from 15° to 90°), low angle first:
- hkl 2 0 1, 2θ = 23.15°, I 29.6
- hkl 2 1 1, 2θ = 24.99°, I 67.1
- hkl 1 0 2, 2θ = 29.01°, I 54.4
- hkl 1 3 0, 2θ = 29.65°, I 100.0
- hkl 3 1 1, 2θ = 32.76°, I 21.8
- hkl 1 2 2, 2θ = 34.70°, I 44.6
- hkl 4 2 0, 2θ = 42.43°, I 29.4
- hkl 2 3 2, 2θ = 44.17°, I 36.2
- hkl 4 1 2, 2θ = 48.32°, I 27.6
- hkl 5 0 1, 2θ = 49.87°, I 23.7
- hkl 5 2 2, 2θ = 59.48°, I 14.0
- hkl 1 3 4, 2θ = 65.20°, I 26.2

Atomic structure:
```
data_Ac4PmGe4
_cell_length_a 9.527
_cell_length_b 9.527
_cell_length_c 6.504
_cell_angle_alpha 90.00
_cell_angle_beta 90.00
_cell_angle_gamma 90.00
_space_group_name_H-M_alt 'P 42/n'
_space_group_IT_number 86
loop_
_space_group_symop_operation_xyz
'x,y,z'
'-x,-y,-z'
'-y,x+1/2,z+1/2'
'y,-x+1/2,-z+1/2'
'-x+1/2,-y+1/2,z'
'x+1/2,y+1/2,-z'
'y+1/2,-x,z+1/2'
'-y+1/2,x,-z+1/2'
loop_
_atom_site_label
_atom_site_fract_x
_atom_site_fract_y
_atom_site_fract_z
Ac1 0.047 0.676 0.116
Pm1 0.250 0.250 0.250
Ge1 0.004 0.624 0.600
```


Entry 4:
CaV2PdW: theoretical powder X-ray diffraction pattern (Cu Kα), based on a cell relaxed with GGA-PBE.
Lines closer than 0.1° are merged.

The 12 most intense peaks (2θ from 15° to 90°), low angle first:
- hkl 0 0 1, 2θ = 19.41°, I 17.4
- hkl 1 0 1, 2θ = 28.04°, I 18.9
- hkl 1 1 0, 2θ = 28.49°, I 36.8
- hkl 1 1 1, 2θ = 34.71°, I 100.0
- hkl 0 0 2, 2θ = 39.40°, I 27.0
- hkl 2 0 0, 2θ = 40.74°, I 49.1
- hkl 1 1 2, 2θ = 49.34°, I 16.7
- hkl 2 0 2, 2θ = 57.97°, I 33.7
- hkl 2 2 0, 2θ = 58.97°, I 16.0
- hkl 1 1 3, 2θ = 68.44°, I 13.4
- hkl 3 1 1, 2θ = 70.28°, I 24.8
- hkl 2 2 2, 2θ = 73.25°, I 16.4

Atomic structure:
```
data_CaV2PdW
_cell_length_a 4.430
_cell_length_b 4.430
_cell_length_c 4.574
_cell_angle_alpha 90.00
_cell_angle_beta 90.00
_cell_angle_gamma 90.00
_space_group_name_H-M_alt 'P 4/m m m'
_space_group_IT_number 123
_space_group_name_Hall '-P 4 2'
loop_
_atom_site_label
_atom_site_fract_x
_atom_site_fract_y
_atom_site_fract_z
Ca1 0.000 0.000 0.000
V1 0.000 0.500 0.000
Pd1 0.000 0.000 0.500
W1 0.500 0.500 0.500
```


Entry 5:
AcPuAsSe: theoretical powder X-ray diffraction pattern (Cu Kα), based on a cell relaxed with GGA-PBE.
Lines closer than 0.1° are merged.

The 12 most intense peaks (2θ from 15° to 90°), low angle first:
- hkl 0 0 6, 2θ = 23.56°, I 19.2
- hkl 1 0 1, 2θ = 24.40°, I 48.8
- hkl 0 1 2, 2θ = 25.35°, I 37.0
- hkl 1 0 4, 2θ = 28.84°, I 27.0
- hkl 0 1 5, 2θ = 31.23°, I 100.0
- hkl 1 0 7, 2θ = 36.91°, I 48.5
- hkl 1 1 0, 2θ = 42.36°, I 57.3
- hkl 1 0 10, 2θ = 47.04°, I 14.8
- hkl 1 1 6, 2θ = 49.03°, I 17.7
- hkl 2 0 5, 2θ = 53.55°, I 22.5
- hkl 1 1 12, 2θ = 66.07°, I 27.4
- hkl 1 2 5, 2θ = 70.55°, I 20.0

Atomic structure:
```
data_AcPuAsSe
_cell_length_a 4.2677
_cell_length_b 4.2677
_cell_length_c 22.6610
_cell_angle_alpha 90.00
_cell_angle_beta 90.00
_cell_angle_gamma 120.00
_space_group_name_H-M_alt 'R 3 m'
_space_group_IT_number 160
_space_group_name_Hall 'R 3 -2"'
loop_
_atom_site_label
_atom_site_fract_x
_atom_site_fract_y
_atom_site_fract_z
Ac1 0.0000 0.0000 0.0000
Pu1 0.0000 0.0000 0.8233
As1 0.0000 0.0000 0.4159
Se1 0.0000 0.0000 0.5748
```


Entry 6:
Fe2Tc: theoretical powder X-ray diffraction pattern (Cu Kα), based on a cell relaxed with GGA-PBE.
Lines closer than 0.1° are merged.

The 8 most intense peaks (2θ from 15° to 90°), low angle first:
- hkl 1 0 0, 2θ = 24.88°, I 8.1
- hkl 1 1 0, 2θ = 43.78°, I 100.0
- hkl 2 0 0, 2θ = 51.04°, I 1.2
- hkl 0 2 1, 2θ = 63.65°, I 15.9
- hkl 2 1 0, 2θ = 69.50°, I 1.0
- hkl 0 0 2, 2θ = 74.89°, I 0.6
- hkl 0 1 2, 2θ = 80.34°, I 6.6
- hkl 3 0 0, 2θ = 80.49°, I 23.0

Atomic structure:
```
data_Fe2Tc
_cell_length_a 4.1321
_cell_length_b 4.1321
_cell_length_c 2.5360
_cell_angle_alpha 90.00
_cell_angle_beta 90.00
_cell_angle_gamma 120.00
_space_group_name_H-M_alt 'P -3 m 1'
_space_group_IT_number 164
_space_group_name_Hall '-P 3 2"'
loop_
_atom_site_label
_atom_site_fract_x
_atom_site_fract_y
_atom_site_fract_z
Fe1 0.3333 0.6667 0.1299
Tc1 0.0000 0.0000 0.5000
```